For TaGaCo4, a GGA-PBE-relaxed structure gives the simulated powder XRD pattern in this record (Cu Kα).
Neutral-atom scattering factors, no anomalous dispersion.

Top 12 peaks for 10 to 90 degrees two-theta, sorted by position:
two_theta, I/Imax
20.60, 10
21.25, 7
23.67, 10
29.77, 7
32.02, 16
43.31, 52
43.94, 100
48.41, 5
62.91, 16
64.87, 7
79.90, 32
81.23, 15

Crystal structure
Cell: 4.1768 8.6246 4.1803 Å, 90.00 90.00 90.00°
Space group Cmmm (No. 65)
Inequivalent atoms, fractional coordinates:
Ta: 0.0000 0.0000 0.0000 [2 per cell]
Ga: 0.0000 0.5000 0.5000 [2 per cell]
Co: 0.0000 0.1719 0.5000 [4 per cell]
Co: 0.0000 0.3334 0.0000 [4 per cell]

---

For Rb2PuCu2S4, a GGA-PBE-relaxed structure gives the simulated powder XRD pattern in this record (Cu Kα).
Neutral-atom scattering factors, no anomalous dispersion.

Top 12 peaks for 10 to 90 degrees two-theta, sorted by position:
two_theta, I/Imax
11.97, 100
12.92, 21
23.20, 38
24.06, 48
24.83, 28
29.58, 64
32.09, 97
34.17, 35
34.52, 62
39.44, 21
45.44, 31
52.82, 31

Crystal structure
Cell: 14.4971 3.9938 7.8216 Å, 90.00 108.98 90.00°
Space group C2/m (No. 12)
Inequivalent atoms, fractional coordinates:
Rb: 0.1366 0.0000 0.0617 [4 per cell]
Pu: 0.0000 0.0000 0.5000 [2 per cell]
Cu: 0.1797 0.5000 0.4841 [4 per cell]
S: 0.0223 0.5000 0.2784 [4 per cell]
S: 0.1970 0.0000 0.6600 [4 per cell]

---

For PrEr5Th4, a GGA-PBE-relaxed structure gives the simulated powder XRD pattern in this record (Cu Kα).
Neutral-atom scattering factors, no anomalous dispersion.

Top 12 peaks for 10 to 90 degrees two-theta, sorted by position:
two_theta, I/Imax
28.71, 23
30.99, 26
32.71, 100
42.75, 16
50.83, 13
50.92, 6
56.19, 15
56.29, 7
60.73, 19
61.76, 11
61.86, 5
83.96, 7

Crystal structure
Cell: 6.2265 6.8019 9.1971 Å, 70.98 89.98 62.76°
Space group P1 (No. 1)
Inequivalent atoms, fractional coordinates:
Pr: 0.0000 0.0000 0.0000 [1 per cell]
Er: 0.2071 0.5904 0.4074 [1 per cell]
Er: 0.3337 0.9989 0.5006 [1 per cell]
Er: 0.5363 0.5960 0.9026 [1 per cell]
Er: 0.6074 0.7906 0.2056 [1 per cell]
Er: 0.9328 0.7926 0.7014 [1 per cell]
Th: 0.1480 0.3835 0.1097 [1 per cell]
Th: 0.3993 0.2042 0.7975 [1 per cell]
Th: 0.7289 0.2036 0.3017 [1 per cell]
Th: 0.8040 0.3878 0.6049 [1 per cell]

---

For NaInSnS4, a GGA-PBE-relaxed structure gives the simulated powder XRD pattern in this record (Cu Kα).
Neutral-atom scattering factors, no anomalous dispersion.

Top 12 peaks for 10 to 90 degrees two-theta, sorted by position:
two_theta, I/Imax
16.59, 97
26.87, 100
30.75, 16
32.72, 30
40.01, 29
42.06, 19
46.76, 36
48.85, 36
52.60, 12
60.25, 10
74.80, 10
77.46, 14

Crystal structure
Cell: 6.3744 6.3744 9.8030 Å, 90.00 90.00 90.00°
Space group I-4 (No. 82)
Inequivalent atoms, fractional coordinates:
Na: 0.0000 0.0000 0.0000 [2 per cell]
In: 0.0000 0.5000 0.7500 [2 per cell]
Sn: 0.0000 0.0000 0.5000 [2 per cell]
S: 0.2208 0.2268 0.6375 [8 per cell]

---

For Mg4TlIn6, a GGA-PBE-relaxed structure gives the simulated powder XRD pattern in this record (Cu Kα).
Neutral-atom scattering factors, no anomalous dispersion.

Top 12 peaks for 10 to 90 degrees two-theta, sorted by position:
two_theta, I/Imax
23.36, 30
28.73, 11
31.08, 100
35.35, 7
41.07, 38
47.79, 14
52.38, 19
56.69, 11
59.49, 16
64.78, 7
68.60, 8
68.70, 8

Crystal structure
Cell: 8.7962 8.7962 4.3908 Å, 90.00 90.00 120.00°
Space group P-6m2 (No. 187)
Inequivalent atoms, fractional coordinates:
Mg: 0.0000 0.0000 0.0000 [1 per cell]
Mg: 0.0717 0.5359 0.5000 [3 per cell]
Tl: 0.6667 0.3333 0.0000 [1 per cell]
In: 0.1923 0.3846 0.0000 [3 per cell]
In: 0.2853 0.1427 0.5000 [3 per cell]

---

For Cd5Hg3Pb, a GGA-PBE-relaxed structure gives the simulated powder XRD pattern in this record (Cu Kα).
Neutral-atom scattering factors, no anomalous dispersion.

Top 12 peaks for 10 to 90 degrees two-theta, sorted by position:
two_theta, I/Imax
32.16, 100
32.57, 83
32.92, 83
36.93, 62
38.78, 55
38.98, 50
39.55, 51
53.05, 21
53.65, 34
58.62, 16
64.15, 12
71.65, 15

Crystal structure
Cell: 5.9623 7.3050 10.6825 Å, 101.72 101.22 90.66°
Space group P-1 (No. 2)
Inequivalent atoms, fractional coordinates:
Cd: 0.0288 0.0337 0.1548 [2 per cell]
Cd: 0.2414 0.7659 0.3351 [2 per cell]
Cd: 0.2978 0.2861 0.8357 [2 per cell]
Cd: 0.3665 0.3867 0.1630 [2 per cell]
Cd: 0.4702 0.9040 0.6851 [2 per cell]
Hg: 0.1725 0.6662 0.0052 [2 per cell]
Hg: 0.1981 0.1483 0.5253 [2 per cell]
Hg: 0.5000 0.0000 0.0000 [1 per cell]
Hg: 0.5000 0.5000 0.5000 [1 per cell]
Pb: 0.0760 0.5911 0.6663 [2 per cell]

---

For Rb3BiTe2O9, a GGA-PBE-relaxed structure gives the simulated powder XRD pattern in this record (Cu Kα).
Neutral-atom scattering factors, no anomalous dispersion.

Top 12 peaks for 10 to 90 degrees two-theta, sorted by position:
two_theta, I/Imax
21.03, 35
29.82, 100
30.00, 96
42.81, 60
52.81, 21
53.15, 39
53.27, 20
61.93, 18
62.35, 18
70.33, 19
70.62, 18
86.39, 22

Crystal structure
Cell: 5.9574 5.9574 7.3625 Å, 90.00 90.00 120.00°
Space group P-3m1 (No. 164)
Inequivalent atoms, fractional coordinates:
Rb: 0.0000 0.0000 0.0000 [1 per cell]
Rb: 0.3333 0.6667 0.6667 [2 per cell]
Bi: 0.0000 0.0000 0.5000 [1 per cell]
Te: 0.3333 0.6667 0.1639 [2 per cell]
O: 0.0000 0.5000 0.0000 [3 per cell]
O: 0.1781 0.3563 0.3088 [6 per cell]

---

For LiAc4Al3O12, a GGA-PBE-relaxed structure gives the simulated powder XRD pattern in this record (Cu Kα).
Neutral-atom scattering factors, no anomalous dispersion.

Top 12 peaks for 10 to 90 degrees two-theta, sorted by position:
two_theta, I/Imax
16.02, 1
22.73, 76
32.36, 100
39.92, 46
46.42, 30
52.29, 36
57.72, 41
67.75, 19
72.48, 18
77.10, 18
81.63, 16
86.10, 7

Crystal structure
Cell: 7.8240 7.8240 7.8240 Å, 90.00 90.00 90.00°
Space group Im-3m (No. 229)
Inequivalent atoms, fractional coordinates:
Li: 0.0000 0.0000 0.0000 [2 per cell]
Ac: 0.2500 0.2500 0.2500 [8 per cell]
Al: 0.0000 0.0000 0.5000 [6 per cell]
O: 0.0000 0.0000 0.2641 [12 per cell]
O: 0.0000 0.2500 0.5000 [12 per cell]

---

For Ba3Cd8Ga3, a GGA-PBE-relaxed structure gives the simulated powder XRD pattern in this record (Cu Kα).
Neutral-atom scattering factors, no anomalous dispersion.

Top 12 peaks for 10 to 90 degrees two-theta, sorted by position:
two_theta, I/Imax
30.30, 22
30.48, 72
30.79, 35
31.14, 100
32.04, 49
33.98, 24
34.57, 24
34.82, 24
35.18, 86
36.11, 39
51.30, 28
60.65, 29

Crystal structure
Cell: 17.7278 5.1019 10.0198 Å, 90.00 122.67 90.00°
Space group C2/m (No. 12)
Inequivalent atoms, fractional coordinates:
Ba: 0.0000 0.0000 0.0000 [2 per cell]
Ba: 0.2030 0.5000 0.6966 [4 per cell]
Cd: 0.0028 0.5000 0.3128 [4 per cell]
Cd: 0.1347 0.0000 0.8436 [4 per cell]
Cd: 0.1426 0.0000 0.4215 [4 per cell]
Cd: 0.1588 0.5000 0.0193 [4 per cell]
Ga: 0.0000 0.0000 0.5000 [2 per cell]
Ga: 0.1617 0.5000 0.3011 [4 per cell]

---

For Na5CuBrO2, a GGA-PBE-relaxed structure gives the simulated powder XRD pattern in this record (Cu Kα).
Neutral-atom scattering factors, no anomalous dispersion.

Top 12 peaks for 10 to 90 degrees two-theta, sorted by position:
two_theta, I/Imax
21.70, 100
26.74, 22
34.57, 93
37.83, 17
38.18, 61
43.83, 15
44.34, 29
54.83, 11
55.09, 19
59.50, 22
66.69, 25
72.92, 11

Crystal structure
Cell: 4.7149 4.7149 8.2621 Å, 90.00 90.00 90.00°
Space group P4/mmm (No. 123)
Inequivalent atoms, fractional coordinates:
Na: 0.0000 0.0000 0.0000 [1 per cell]
Na: 0.0000 0.5000 0.2854 [4 per cell]
Cu: 0.0000 0.0000 0.5000 [1 per cell]
Br: 0.5000 0.5000 0.0000 [1 per cell]
O: 0.0000 0.0000 0.2751 [2 per cell]

---

For CdCoGe2P, a GGA-PBE-relaxed structure gives the simulated powder XRD pattern in this record (Cu Kα).
Neutral-atom scattering factors, no anomalous dispersion.

Top 12 peaks for 10 to 90 degrees two-theta, sorted by position:
two_theta, I/Imax
16.12, 27
31.22, 29
32.57, 57
35.32, 25
35.87, 14
45.72, 100
47.79, 18
56.33, 15
68.22, 9
74.71, 10
76.92, 11
87.61, 11

Crystal structure
Cell: 2.8654 7.6129 7.9519 Å, 90.00 90.00 90.00°
Space group Amm2 (No. 38)
Inequivalent atoms, fractional coordinates:
Cd: 0.0000 0.0000 0.0000 [2 per cell]
Co: 0.5000 0.0000 0.6958 [2 per cell]
Ge: 0.0000 0.2340 0.2525 [4 per cell]
P: 0.0000 0.0000 0.4821 [2 per cell]

---

For CaLaIn, a GGA-PBE-relaxed structure gives the simulated powder XRD pattern in this record (Cu Kα).
Neutral-atom scattering factors, no anomalous dispersion.

Top 12 peaks for 10 to 90 degrees two-theta, sorted by position:
two_theta, I/Imax
18.56, 12
22.17, 19
30.66, 100
32.44, 81
45.24, 34
56.76, 34
57.87, 15
60.46, 26
67.93, 9
76.35, 14
79.58, 11
88.58, 9

Crystal structure
Cell: 5.5194 5.5194 7.3613 Å, 90.00 90.00 120.00°
Space group P6_3/mmc (No. 194)
Inequivalent atoms, fractional coordinates:
Ca: 0.3333 0.6667 0.2500 [2 per cell]
La: 0.0000 0.0000 0.0000 [2 per cell]
In: 0.3333 0.6667 0.7500 [2 per cell]

---

For RbCeCl4, a GGA-PBE-relaxed structure gives the simulated powder XRD pattern in this record (Cu Kα).
Neutral-atom scattering factors, no anomalous dispersion.

Top 12 peaks for 10 to 90 degrees two-theta, sorted by position:
two_theta, I/Imax
14.46, 37
21.28, 86
22.79, 35
23.73, 69
24.41, 38
30.46, 27
33.64, 100
38.38, 34
39.14, 44
39.69, 62
40.60, 34
41.23, 37

Crystal structure
Cell: 7.8028 4.3787 19.7713 Å, 90.00 90.00 90.00°
Space group Pnma (No. 62)
Inequivalent atoms, fractional coordinates:
Rb: 0.2187 0.2500 0.2035 [4 per cell]
Ce: 0.2505 0.2500 0.9410 [4 per cell]
Cl: 0.0058 0.2500 0.0609 [4 per cell]
Cl: 0.0959 0.2500 0.8084 [4 per cell]
Cl: 0.0981 0.2500 0.3667 [4 per cell]
Cl: 0.1422 0.2500 0.5364 [4 per cell]